This entry pairs a crystal structure of RbTe2S6 with its calculated powder diffraction line list. Radiation: Cu Kα. Structure: a crystal structure in Alexandria, relaxed with GGA-PBE.
Neutral-atom scattering factors, no anomalous dispersion.

Structure:
```
data_RbTe2S6
_chemical_formula_sum 'Rb1 Te2 S6'
_space_group_name_H-M_alt 'P -1'
_space_group_IT_number 2
_cell_length_a 6.364
_cell_length_b 6.832
_cell_length_c 8.324
_cell_angle_alpha 99.12
_cell_angle_beta 111.12
_cell_angle_gamma 97.02
loop_
_space_group_symop_operation_xyz
'x,y,z'
'-x,-y,-z'
loop_
_atom_site_label
_atom_site_fract_x
_atom_site_fract_y
_atom_site_fract_z
_atom_site_occupancy
Rb1 0.000 0.000 0.000 1
Te1 0.311 0.723 0.710 1
S1 0.065 0.914 0.431 1
S2 0.436 0.342 0.440 1
S3 0.473 0.343 0.992 1
```

Top 10 peaks for 5 to 70 degrees two-theta, low angle first:
2θ/deg, d (Å), Rel. int.
15.18, 5.835, 40
15.74, 5.631, 89
19.65, 4.518, 28
20.01, 4.436, 44
22.22, 4.001, 100
22.55, 3.942, 42
28.29, 3.155, 43
30.66, 2.916, 33
31.78, 2.815, 45
32.22, 2.778, 53

=====

This entry pairs a crystal structure of Rb2TeS4 with its calculated powder diffraction line list. Radiation: Cu Kα. Structure: a crystal structure in Alexandria, relaxed with GGA-PBE.
Neutral-atom scattering factors, no anomalous dispersion.

Structure:
```
data_Rb2TeS4
_chemical_formula_sum 'Rb8 Te4 S16'
_space_group_name_H-M_alt 'F m m 2'
_space_group_IT_number 42
_space_group_name_Hall 'F 2 -2'
_cell_length_a 10.948
_cell_length_b 12.154
_cell_length_c 8.470
_cell_angle_alpha 90.00
_cell_angle_beta 90.00
_cell_angle_gamma 90.00
loop_
_atom_site_label
_atom_site_fract_x
_atom_site_fract_y
_atom_site_fract_z
_atom_site_occupancy
Rb1 0.250 0.250 0.000 1
Te1 0.000 0.000 0.454 1
S1 0.000 0.159 0.299 1
S2 0.171 0.000 0.614 1
```

Top 10 peaks for 5 to 70 degrees two-theta, low angle first:
2θ/deg, d (Å), Rel. int.
15.10, 5.867, 100
20.98, 4.235, 23
21.85, 4.067, 41
25.69, 3.467, 19
26.61, 3.350, 18
27.61, 3.231, 17
29.40, 3.038, 19
30.47, 2.934, 64
36.39, 2.469, 22
48.47, 1.878, 19

=====

This entry pairs a crystal structure of Rb2Te2S5 with its calculated powder diffraction line list. Radiation: Cu Kα. Structure: a crystal structure in Alexandria, relaxed with GGA-PBE.
Neutral-atom scattering factors, no anomalous dispersion.

Structure:
```
data_Rb2Te2S5
_chemical_formula_sum 'Rb4 Te4 S10'
_space_group_name_H-M_alt 'C 1 2/m 1'
_space_group_IT_number 12
_cell_length_a 16.111
_cell_length_b 5.244
_cell_length_c 8.255
_cell_angle_alpha 90.00
_cell_angle_beta 109.77
_cell_angle_gamma 90.00
loop_
_space_group_symop_operation_xyz
'x,y,z'
'-x,-y,-z'
'-x,y,-z'
'x,-y,z'
'x+1/2,y+1/2,z'
'-x+1/2,-y+1/2,-z'
'-x+1/2,y+1/2,-z'
'x+1/2,-y+1/2,z'
loop_
_atom_site_label
_atom_site_fract_x
_atom_site_fract_y
_atom_site_fract_z
_atom_site_occupancy
Rb1 0.051 0.000 0.300 1
Te1 0.153 0.500 0.944 1
S1 0.000 0.500 0.000 1
S2 0.093 0.500 0.646 1
S3 0.173 0.000 0.024 1
```

Top 10 peaks for 5 to 70 degrees two-theta, low angle first:
2θ/deg, d (Å), Rel. int.
11.39, 7.768, 100
13.28, 6.669, 35
21.90, 4.059, 39
22.32, 3.983, 72
24.35, 3.655, 51
24.46, 3.639, 35
30.78, 2.905, 31
33.37, 2.685, 43
34.20, 2.622, 42
35.22, 2.549, 31

=====

This entry pairs a crystal structure of RbTe3S3 with its calculated powder diffraction line list. Radiation: Cu Kα. Structure: a crystal structure in Alexandria, relaxed with GGA-PBE.
Neutral-atom scattering factors, no anomalous dispersion.

Structure:
```
data_RbTe3S3
_chemical_formula_sum 'Rb6 Te18 S18'
_space_group_name_H-M_alt 'R -3'
_space_group_IT_number 148
_space_group_name_Hall '-R 3'
_cell_length_a 7.9020
_cell_length_b 7.9020
_cell_length_c 28.4781
_cell_angle_alpha 90.00
_cell_angle_beta 90.00
_cell_angle_gamma 120.00
loop_
_atom_site_label
_atom_site_fract_x
_atom_site_fract_y
_atom_site_fract_z
_atom_site_occupancy
Rb1 0.0000 0.0000 0.1564 1
Te1 0.0034 0.5607 0.6168 1
S1 0.0168 0.4441 0.9145 1
```

Top 10 peaks for 5 to 70 degrees two-theta, low angle first:
2θ/deg, d (Å), Rel. int.
9.32, 9.493, 46
13.31, 6.654, 45
24.40, 3.648, 66
28.21, 3.164, 41
28.95, 3.084, 100
29.41, 3.037, 63
35.27, 2.545, 25
36.41, 2.468, 29
48.38, 1.881, 35
49.40, 1.845, 27

=====

This entry pairs a crystal structure of Rb2UTeS2 with its calculated powder diffraction line list. Radiation: Cu Kα. Structure: a crystal structure in Alexandria, relaxed with GGA-PBE.
Neutral-atom scattering factors, no anomalous dispersion.

Structure:
```
data_Rb2UTeS2
_chemical_formula_sum 'Rb2 U1 Te1 S2'
_space_group_name_H-M_alt 'P 4/m m m'
_space_group_IT_number 123
_space_group_name_Hall '-P 4 2'
_cell_length_a 5.375
_cell_length_b 5.375
_cell_length_c 6.786
_cell_angle_alpha 90.00
_cell_angle_beta 90.00
_cell_angle_gamma 90.00
loop_
_atom_site_label
_atom_site_fract_x
_atom_site_fract_y
_atom_site_fract_z
_atom_site_occupancy
Rb1 0.000 0.000 0.228 1
U1 0.500 0.500 0.500 1
Te1 0.500 0.500 0.000 1
S1 0.000 0.500 0.500 1
```

Top 10 peaks for 5 to 70 degrees two-theta, low angle first:
2θ/deg, d (Å), Rel. int.
13.05, 6.786, 16
16.49, 5.375, 26
23.40, 3.801, 79
31.17, 2.869, 100
33.34, 2.688, 54
46.28, 1.962, 67
47.86, 1.900, 19
53.94, 1.700, 17
58.23, 1.584, 17
68.78, 1.365, 21

=====

This entry pairs a crystal structure of Rb5ThS4 with its calculated powder diffraction line list. Radiation: Cu Kα. Structure: a crystal structure in Alexandria, relaxed with GGA-PBE.
Neutral-atom scattering factors, no anomalous dispersion.

Structure:
```
data_Rb5ThS4
_chemical_formula_sum 'Rb10 Th2 S8'
_space_group_name_H-M_alt 'C 1 2/m 1'
_space_group_IT_number 12
_cell_length_a 19.899
_cell_length_b 4.453
_cell_length_c 9.212
_cell_angle_alpha 90.00
_cell_angle_beta 99.14
_cell_angle_gamma 90.00
loop_
_space_group_symop_operation_xyz
'x,y,z'
'-x,-y,-z'
'-x,y,-z'
'x,-y,z'
'x+1/2,y+1/2,z'
'-x+1/2,-y+1/2,-z'
'-x+1/2,y+1/2,-z'
'x+1/2,-y+1/2,z'
loop_
_atom_site_label
_atom_site_fract_x
_atom_site_fract_y
_atom_site_fract_z
_atom_site_occupancy
Rb1 0.000 0.000 0.000 1
Rb2 0.157 0.500 0.812 1
Rb3 0.176 0.500 0.346 1
Th1 0.000 0.000 0.500 1
S1 0.006 0.500 0.296 1
S2 0.140 0.000 0.566 1
```

Top 10 peaks for 5 to 70 degrees two-theta, low angle first:
2θ/deg, d (Å), Rel. int.
9.00, 9.823, 40
9.73, 9.095, 59
22.82, 3.897, 37
24.17, 3.682, 64
24.47, 3.637, 32
27.23, 3.274, 48
27.91, 3.197, 100
38.33, 2.348, 33
40.46, 2.230, 52
49.51, 1.841, 20

=====

This entry pairs a crystal structure of Rb2ThS3 with its calculated powder diffraction line list. Radiation: Cu Kα. Structure: a crystal structure in Alexandria, relaxed with GGA-PBE.
Neutral-atom scattering factors, no anomalous dispersion.

Structure:
```
data_Rb2ThS3
_chemical_formula_sum 'Rb8 Th4 S12'
_space_group_name_H-M_alt 'C 1 2/m 1'
_space_group_IT_number 12
_cell_length_a 7.589
_cell_length_b 13.123
_cell_length_c 8.149
_cell_angle_alpha 90.00
_cell_angle_beta 108.51
_cell_angle_gamma 90.00
loop_
_space_group_symop_operation_xyz
'x,y,z'
'-x,-y,-z'
'-x,y,-z'
'x,-y,z'
'x+1/2,y+1/2,z'
'-x+1/2,-y+1/2,-z'
'-x+1/2,y+1/2,-z'
'x+1/2,-y+1/2,z'
loop_
_atom_site_label
_atom_site_fract_x
_atom_site_fract_y
_atom_site_fract_z
_atom_site_occupancy
Rb1 0.000 0.000 0.000 1
Rb2 0.000 0.155 0.500 1
Rb3 0.000 0.500 0.500 1
Th1 0.000 0.333 0.000 1
S1 0.187 0.500 0.199 1
S2 0.240 0.309 0.799 1
```

Top 10 peaks for 5 to 70 degrees two-theta, low angle first:
2θ/deg, d (Å), Rel. int.
11.45, 7.728, 48
23.02, 3.864, 34
24.71, 3.603, 82
28.01, 3.185, 51
28.18, 3.166, 100
39.06, 2.306, 37
39.26, 2.295, 19
41.24, 2.189, 51
47.83, 1.902, 24
50.63, 1.803, 17

=====

This entry pairs a crystal structure of Rb2ThUS6 with its calculated powder diffraction line list. Radiation: Cu Kα. Structure: a crystal structure in Alexandria, relaxed with GGA-PBE.
Neutral-atom scattering factors, no anomalous dispersion.

Structure:
```
data_Rb2ThUS6
_chemical_formula_sum 'Rb4 Th2 U2 S12'
_space_group_name_H-M_alt 'P 1 21/c 1'
_space_group_IT_number 14
_cell_length_a 7.513
_cell_length_b 7.508
_cell_length_c 13.009
_cell_angle_alpha 90.00
_cell_angle_beta 125.28
_cell_angle_gamma 90.00
loop_
_space_group_symop_operation_xyz
'x,y,z'
'-x,-y,-z'
'-x,y+1/2,-z+1/2'
'x,-y+1/2,z+1/2'
loop_
_atom_site_label
_atom_site_fract_x
_atom_site_fract_y
_atom_site_fract_z
_atom_site_occupancy
Rb1 0.250 0.001 0.250 1
Th1 0.000 0.000 0.500 1
U1 0.500 0.000 0.000 1
S1 0.246 0.000 0.759 1
S2 0.261 0.735 0.507 1
S3 0.272 0.246 0.007 1
```

Top 10 peaks for 5 to 70 degrees two-theta, low angle first:
2θ/deg, d (Å), Rel. int.
16.69, 5.310, 43
23.69, 3.755, 100
33.76, 2.655, 45
37.88, 2.375, 23
41.66, 2.168, 47
48.49, 1.878, 31
51.64, 1.770, 12
54.65, 1.679, 22
60.38, 1.533, 11
65.80, 1.419, 26

=====

This entry pairs a crystal structure of Rb4Ti3S14 with its calculated powder diffraction line list. Radiation: Cu Kα. Structure: a crystal structure in Alexandria, relaxed with GGA-PBE.
Neutral-atom scattering factors, no anomalous dispersion.

Structure:
```
data_Rb4Ti3S14
_chemical_formula_sum 'Rb16 Ti12 S56'
_space_group_name_H-M_alt 'C 1 2/c 1'
_space_group_IT_number 15
_cell_length_a 21.553
_cell_length_b 8.315
_cell_length_c 13.745
_cell_angle_alpha 90.00
_cell_angle_beta 114.08
_cell_angle_gamma 90.00
loop_
_space_group_symop_operation_xyz
'x,y,z'
'-x,-y,-z'
'-x,y,-z+1/2'
'x,-y,z+1/2'
'x+1/2,y+1/2,z'
'-x+1/2,-y+1/2,-z'
'-x+1/2,y+1/2,-z+1/2'
'x+1/2,-y+1/2,z+1/2'
loop_
_atom_site_label
_atom_site_fract_x
_atom_site_fract_y
_atom_site_fract_z
_atom_site_occupancy
Rb1 0.069 0.237 0.146 1
Rb2 0.200 0.319 0.610 1
Ti1 0.000 0.265 0.750 1
Ti2 0.167 0.256 0.917 1
S1 0.038 0.344 0.610 1
S2 0.070 0.094 0.915 1
S3 0.086 0.481 0.868 1
S4 0.095 0.166 0.714 1
S5 0.147 0.037 0.398 1
S6 0.172 0.486 0.339 1
S7 0.222 0.288 0.098 1
```

Top 10 peaks for 5 to 70 degrees two-theta, low angle first:
2θ/deg, d (Å), Rel. int.
12.55, 7.055, 47
20.63, 4.305, 28
21.37, 4.158, 45
22.69, 3.919, 67
23.34, 3.811, 30
25.00, 3.562, 69
28.45, 3.137, 77
29.18, 3.060, 100
33.10, 2.706, 28
38.25, 2.353, 31

=====

This entry pairs a crystal structure of Rb5Ti2S6 with its calculated powder diffraction line list. Radiation: Cu Kα. Structure: a crystal structure in Alexandria, relaxed with GGA-PBE.
Neutral-atom scattering factors, no anomalous dispersion.

Structure:
```
data_Rb5Ti2S6
_chemical_formula_sum 'Rb20 Ti8 S24'
_space_group_name_H-M_alt 'C 1 2/c 1'
_space_group_IT_number 15
_cell_length_a 13.058
_cell_length_b 8.316
_cell_length_c 17.243
_cell_angle_alpha 90.00
_cell_angle_beta 101.82
_cell_angle_gamma 90.00
loop_
_space_group_symop_operation_xyz
'x,y,z'
'-x,-y,-z'
'-x,y,-z+1/2'
'x,-y,z+1/2'
'x+1/2,y+1/2,z'
'-x+1/2,-y+1/2,-z'
'-x+1/2,y+1/2,-z+1/2'
'x+1/2,-y+1/2,z+1/2'
loop_
_atom_site_label
_atom_site_fract_x
_atom_site_fract_y
_atom_site_fract_z
_atom_site_occupancy
Rb1 0.000 0.128 0.250 1
Rb2 0.056 0.238 0.998 1
Rb3 0.158 0.409 0.722 1
Ti1 0.228 0.361 0.429 1
S1 0.065 0.449 0.374 1
S2 0.149 0.050 0.637 1
S3 0.225 0.077 0.435 1
```

Top 10 peaks for 5 to 70 degrees two-theta, low angle first:
2θ/deg, d (Å), Rel. int.
23.87, 3.728, 52
24.99, 3.563, 100
25.83, 3.449, 96
26.66, 3.344, 64
27.49, 3.245, 36
27.62, 3.230, 32
28.64, 3.117, 35
31.43, 2.846, 34
38.52, 2.337, 30
41.54, 2.174, 33

=====

This entry pairs a crystal structure of Rb5TiS5 with its calculated powder diffraction line list. Radiation: Cu Kα. Structure: a crystal structure in Alexandria, relaxed with GGA-PBE.
Neutral-atom scattering factors, no anomalous dispersion.

Structure:
```
data_Rb5TiS5
_chemical_formula_sum 'Rb10 Ti2 S10'
_space_group_name_H-M_alt 'C 1 2/m 1'
_space_group_IT_number 12
_cell_length_a 14.650
_cell_length_b 6.232
_cell_length_c 8.773
_cell_angle_alpha 90.00
_cell_angle_beta 109.23
_cell_angle_gamma 90.00
loop_
_space_group_symop_operation_xyz
'x,y,z'
'-x,-y,-z'
'-x,y,-z'
'x,-y,z'
'x+1/2,y+1/2,z'
'-x+1/2,-y+1/2,-z'
'-x+1/2,y+1/2,-z'
'x+1/2,-y+1/2,z'
loop_
_atom_site_label
_atom_site_fract_x
_atom_site_fract_y
_atom_site_fract_z
_atom_site_occupancy
Rb1 0.000 0.000 0.000 1
Rb2 0.168 0.500 0.344 1
Rb3 0.192 0.500 0.800 1
Ti1 0.000 0.000 0.500 1
S1 0.000 0.500 0.500 1
S2 0.121 0.000 0.372 1
S3 0.127 0.000 0.762 1
```

Top 10 peaks for 5 to 70 degrees two-theta, low angle first:
2θ/deg, d (Å), Rel. int.
10.68, 8.284, 19
24.01, 3.707, 81
24.83, 3.586, 66
27.64, 3.227, 74
28.53, 3.128, 83
28.65, 3.116, 100
35.54, 2.526, 29
40.22, 2.242, 43
40.88, 2.208, 60
47.42, 1.917, 24

=====

This entry pairs a crystal structure of Rb2TiTlS4 with its calculated powder diffraction line list. Radiation: Cu Kα. Structure: a crystal structure in Alexandria, relaxed with GGA-PBE.
Neutral-atom scattering factors, no anomalous dispersion.

Structure:
```
data_Rb2TiTlS4
_chemical_formula_sum 'Rb16 Ti8 Tl8 S32'
_space_group_name_H-M_alt 'F d d d'
_space_group_IT_number 70
_cell_length_a 6.622
_cell_length_b 13.908
_cell_length_c 23.727
_cell_angle_alpha 90.00
_cell_angle_beta 90.00
_cell_angle_gamma 90.00
loop_
_space_group_symop_operation_xyz
'x,y,z'
'-x,-y,-z'
'-x+1/4,-y+1/4,z'
'x+1/4,y+1/4,-z'
'x,-y+1/4,-z+1/4'
'-x,y+1/4,z+1/4'
'-x+1/4,y,-z+1/4'
'x+1/4,-y,z+1/4'
'x,y+1/2,z+1/2'
'-x,-y+1/2,-z+1/2'
'-x+1/4,-y+3/4,z+1/2'
'x+1/4,y+3/4,-z+1/2'
'x,-y+3/4,-z+3/4'
'-x,y+3/4,z+3/4'
'-x+1/4,y+1/2,-z+3/4'
'x+1/4,-y+1/2,z+3/4'
'x+1/2,y,z+1/2'
'-x+1/2,-y,-z+1/2'
'-x+3/4,-y+1/4,z+1/2'
'x+3/4,y+1/4,-z+1/2'
'x+1/2,-y+1/4,-z+3/4'
'-x+1/2,y+1/4,z+3/4'
'-x+3/4,y,-z+3/4'
'x+3/4,-y,z+3/4'
'x+1/2,y+1/2,z'
'-x+1/2,-y+1/2,-z'
'-x+3/4,-y+3/4,z'
'x+3/4,y+3/4,-z'
'x+1/2,-y+3/4,-z+1/4'
'-x+1/2,y+3/4,z+1/4'
'-x+3/4,y+1/2,-z+1/4'
'x+3/4,-y+1/2,z+1/4'
loop_
_atom_site_label
_atom_site_fract_x
_atom_site_fract_y
_atom_site_fract_z
_atom_site_occupancy
Rb1 0.125 0.125 0.306 1
Ti1 0.125 0.125 0.625 1
Tl1 0.125 0.125 0.125 1
S1 0.081 0.279 0.821 1
```

Top 10 peaks for 5 to 70 degrees two-theta, low angle first:
2θ/deg, d (Å), Rel. int.
14.77, 5.999, 81
14.93, 5.932, 83
15.28, 5.798, 64
23.73, 3.750, 67
23.94, 3.717, 43
25.92, 3.438, 100
29.89, 2.990, 72
30.14, 2.965, 87
35.35, 2.539, 63
44.17, 2.050, 44